The following is a computed powder diffraction line list of Ba3TmV2O9. It was derived from the PBE+U geometry in Alexandria, using Cu Kα.

Structure:
Lattice parameters (Å, degrees): 5.8024 5.8024 7.1062 90.00 90.00 120.00
Positions (direct):
Ba  0.0000  0.0000  0.0000
Ba  0.3333  0.6667  0.6785
Ba  0.6667  0.3333  0.3215
Tm  0.0000  0.0000  0.5000
V  0.3333  0.6667  0.1652
V  0.6667  0.3333  0.8348
O  0.0000  0.5000  0.0000
O  0.1774  0.3549  0.3160
O  0.1774  0.8226  0.3160
O  0.3549  0.1774  0.6840
O  0.5000  0.0000  0.0000
O  0.5000  0.5000  0.0000
O  0.6451  0.8226  0.3160
O  0.8226  0.1774  0.6840
O  0.8226  0.6451  0.6840

Main lines, by angle (5° ≤ 2θ ≤ 70°):
(0 0 1), 2θ = 12.46°, d 7.106, rel. 25; (1 0 0), 2θ = 17.65°, d 5.025, rel. 56; (0 1 1), 2θ = 21.66°, d 4.103, rel. 60; (1 1 0), 2θ = 30.82°, d 2.901, rel. 1000; (1 1 1), 2θ = 33.36°, d 2.686, rel. 22; (0 2 1), 2θ = 37.99°, d 2.369, rel. 85; (2 0 2), 2θ = 44.15°, d 2.051, rel. 314; (1 2 1), 2θ = 49.69°, d 1.835, rel. 24; (3 0 0), 2θ = 54.81°, d 1.675, rel. 386; (2 2 0), 2θ = 64.21°, d 1.451, rel. 181